For Zr5ZnSn3, a DFT-relaxed cell (GGA-PBE, the Materials Project) gives the simulated XRD peak list in this record (Cu Kα (λ = 1.5418 Å)).
Lines closer than 0.1° are merged.

Largest 10 diffraction maxima, low angle first, 10 to 90 degrees two-theta:
- 2.952 Å, 30.3°, I 14
- 2.570 Å, 34.9°, I 71
- 2.518 Å, 35.7°, I 86
- 2.445 Å, 36.8°, I 100
- 1.974 Å, 46.0°, I 22
- 1.754 Å, 52.2°, I 25
- 1.620 Å, 56.8°, I 17
- 1.439 Å, 64.8°, I 15
- 1.387 Å, 67.5°, I 14
- 1.273 Å, 74.5°, I 20

Lattice parameters (Å, degrees): 8.721 8.721 5.905 90.00 90.00 120.00
Fractional coordinates of all 18 atoms:
Zr 0.000 0.269 0.250
Zr 0.000 0.731 0.750
Zr 0.269 0.000 0.250
Zr 0.269 0.269 0.750
Zr 0.333 0.667 0.000
Zr 0.333 0.667 0.500
Zr 0.667 0.333 0.000
Zr 0.667 0.333 0.500
Zr 0.731 0.000 0.750
Zr 0.731 0.731 0.250
Zn 0.000 0.000 0.000
Zn 0.000 0.000 0.500
Sn 0.000 0.384 0.750
Sn 0.000 0.616 0.250
Sn 0.384 0.000 0.750
Sn 0.384 0.384 0.250
Sn 0.616 0.000 0.250
Sn 0.616 0.616 0.750